[1]
For KTa2, DFT lattice parameters and positions (PBE) gives the theoretical powder diffractogram in this record (Cu Kα X-rays).
Neutral-atom scattering factors, no anomalous dispersion.

Atomic structure:
```
KTa2
1.0
0.000 4.179 4.179
4.179 0.000 4.179
4.179 4.179 0.000
K Ta
2 4
Direct
0.125 0.125 0.125 K
0.875 0.875 0.875 K
0.000 0.500 0.500 Ta
0.500 0.000 0.500 Ta
0.500 0.500 0.000 Ta
0.500 0.500 0.500 Ta
```

Peak list (10 most intense, 2θ from 10° to 90°, low angle first)
2θ/deg	I/Imax
18.39	87
35.63	100
37.27	88
43.30	34
47.41	24
57.28	34
62.90	35
66.14	18
74.44	12
75.45	34

[2]
For KTm, DFT lattice parameters and positions (PBE) gives the theoretical powder diffractogram in this record (Cu Kα X-rays).
Neutral-atom scattering factors, no anomalous dispersion.

Atomic structure:
```
KTm
1.0
3.606 0.000 0.000
-1.803 3.122 0.000
0.000 0.000 7.128
K Tm
1 1
Direct
0.000 0.000 0.000 K
0.667 0.333 0.500 Tm
```

Peak list (10 most intense, 2θ from 10° to 90°, low angle first)
2θ/deg	I/Imax
12.42	60
24.99	35
28.59	39
31.27	100
38.33	36
48.12	30
50.63	15
57.27	21
60.73	15
82.92	12

[3]
For KZn13, DFT lattice parameters and positions (PBE) gives the theoretical powder diffractogram in this record (Cu Kα X-rays).
Neutral-atom scattering factors, no anomalous dispersion.

Atomic structure:
```
KZn13
1.0
0.000 6.146 6.146
6.146 0.000 6.146
6.146 6.146 0.000
K Zn
2 26
Direct
0.250 0.250 0.250 K
0.750 0.750 0.750 K
0.000 0.000 0.000 Zn
0.061 0.300 0.700 Zn
0.061 0.700 0.939 Zn
0.061 0.939 0.300 Zn
0.200 0.439 0.800 Zn
0.200 0.561 0.439 Zn
0.200 0.800 0.561 Zn
0.300 0.061 0.939 Zn
0.300 0.700 0.061 Zn
0.300 0.939 0.700 Zn
0.439 0.200 0.561 Zn
0.439 0.561 0.800 Zn
0.439 0.800 0.200 Zn
0.500 0.500 0.500 Zn
0.561 0.200 0.800 Zn
0.561 0.439 0.200 Zn
0.561 0.800 0.439 Zn
0.700 0.061 0.300 Zn
0.700 0.300 0.939 Zn
0.700 0.939 0.061 Zn
0.800 0.200 0.439 Zn
0.800 0.439 0.561 Zn
0.800 0.561 0.200 Zn
0.939 0.061 0.700 Zn
0.939 0.300 0.061 Zn
0.939 0.700 0.300 Zn
```

Peak list (10 most intense, 2θ from 10° to 90°, low angle first)
2θ/deg	I/Imax
14.41	32
32.58	13
35.79	46
43.56	100
44.21	43
69.70	15
73.50	9
75.84	8
77.69	8
84.54	14

[4]
For K3Zr4, DFT lattice parameters and positions (PBE) gives the theoretical powder diffractogram in this record (Cu Kα X-rays).
Neutral-atom scattering factors, no anomalous dispersion.

Atomic structure:
```
K3Zr4
1.0
10.436 0.000 0.000
0.000 4.890 0.000
-5.211 0.000 9.043
K Zr
6 8
Direct
0.142 0.250 0.288 K
0.146 0.250 0.858 K
0.288 0.750 0.146 K
0.712 0.250 0.854 K
0.854 0.750 0.142 K
0.858 0.750 0.712 K
0.137 0.750 0.568 Zr
0.333 0.250 0.667 Zr
0.431 0.750 0.863 Zr
0.432 0.750 0.569 Zr
0.568 0.250 0.431 Zr
0.569 0.250 0.137 Zr
0.667 0.750 0.333 Zr
0.863 0.250 0.432 Zr
```

Peak list (10 most intense, 2θ from 10° to 90°, low angle first)
2θ/deg	I/Imax
16.99	17
26.08	16
31.95	100
34.98	15
35.81	17
36.76	20
44.14	14
52.26	11
52.60	10
63.20	13

[5]
For KZr5, DFT lattice parameters and positions (PBE) gives the theoretical powder diffractogram in this record (Cu Kα X-rays).
Neutral-atom scattering factors, no anomalous dispersion.

Atomic structure:
```
KZr5
1.0
5.817 0.000 0.000
-2.909 5.038 0.000
0.000 0.000 5.232
K Zr
1 5
Direct
0.000 0.000 0.000 K
0.000 0.623 0.500 Zr
0.333 0.667 0.000 Zr
0.377 0.377 0.500 Zr
0.623 0.000 0.500 Zr
0.667 0.333 0.000 Zr
```

Peak list (10 most intense, 2θ from 10° to 90°, low angle first)
2θ/deg	I/Imax
17.60	14
30.74	24
34.28	26
35.31	100
39.71	9
46.70	15
54.66	15
62.05	18
66.12	17
66.76	11

[6]
For La, DFT lattice parameters and positions (PBE) gives the theoretical powder diffractogram in this record (Cu Kα X-rays).
Neutral-atom scattering factors, no anomalous dispersion.

Atomic structure:
```
La
1.0
3.699 0.000 0.000
-1.849 3.203 0.000
0.000 0.000 8.882
La
3
Direct
0.000 0.000 0.000 La
0.333 0.667 0.667 La
0.667 0.333 0.333 La
```

Peak list (10 most intense, 2θ from 10° to 90°, low angle first)
2θ/deg	I/Imax
29.65	100
30.19	32
34.52	67
49.27	24
49.98	23
58.56	14
58.88	28
59.51	14
61.55	12
79.97	12

[7]
For La, DFT lattice parameters and positions (PBE) gives the theoretical powder diffractogram in this record (Cu Kα X-rays).
Neutral-atom scattering factors, no anomalous dispersion.

Atomic structure:
```
La
1.0
4.205 0.000 0.000
0.000 4.205 0.000
0.000 0.000 4.205
La
2
Direct
0.000 0.000 0.000 La
0.500 0.500 0.500 La
```

Peak list (7 most intense, 2θ from 10° to 90°, low angle first)
2θ/deg	I/Imax
30.05	100
43.02	19
53.37	40
62.47	12
70.87	17
78.86	4
86.63	20

[8]
For La, DFT lattice parameters and positions (PBE) gives the theoretical powder diffractogram in this record (Cu Kα X-rays).
Neutral-atom scattering factors, no anomalous dispersion.

Atomic structure:
```
La
1.0
3.762 0.000 0.000
-1.881 3.258 0.000
0.000 0.000 6.107
La
2
Direct
0.333 0.667 0.250 La
0.667 0.333 0.750 La
```

Peak list (10 most intense, 2θ from 10° to 90°, low angle first)
2θ/deg	I/Imax
27.37	23
29.25	26
31.11	100
40.49	16
48.38	19
53.04	22
57.55	23
58.65	16
79.37	14
81.13	9

[9]
For La, DFT lattice parameters and positions (PBE) gives the theoretical powder diffractogram in this record (Cu Kα X-rays).
Neutral-atom scattering factors, no anomalous dispersion.

Atomic structure:
```
La
1.0
-6.385 6.385 6.385
6.385 -6.385 6.385
6.385 6.385 -6.385
La
29
Direct
0.000 0.000 0.000 La
0.000 0.000 0.363 La
0.000 0.322 0.591 La
0.000 0.363 0.000 La
0.000 0.591 0.322 La
0.000 0.627 0.814 La
0.000 0.814 0.627 La
0.186 0.186 0.813 La
0.186 0.813 0.186 La
0.187 0.373 0.373 La
0.270 0.678 0.678 La
0.322 0.000 0.591 La
0.322 0.591 0.000 La
0.363 0.000 0.000 La
0.373 0.187 0.373 La
0.373 0.373 0.187 La
0.409 0.409 0.730 La
0.409 0.730 0.409 La
0.591 0.000 0.322 La
0.591 0.322 0.000 La
0.627 0.000 0.814 La
0.627 0.814 0.000 La
0.637 0.637 0.637 La
0.678 0.270 0.678 La
0.678 0.678 0.270 La
0.730 0.409 0.409 La
0.813 0.186 0.186 La
0.814 0.000 0.627 La
0.814 0.627 0.000 La
```

Peak list (10 most intense, 2θ from 10° to 90°, low angle first)
2θ/deg	I/Imax
27.95	8
29.68	100
32.90	33
34.40	12
35.86	14
49.45	6
50.54	12
52.67	29
56.76	6
61.63	9

[10]
For Li2LaMgSn2Pd2, DFT lattice parameters and positions (PBE) gives the theoretical powder diffractogram in this record (Cu Kα X-rays).
Neutral-atom scattering factors, no anomalous dispersion.

Atomic structure:
```
Li2LaMgSn2Pd2
1.0
4.767 0.000 0.000
0.000 4.767 0.000
0.000 0.000 6.883
Li La Mg Sn Pd
2 1 1 2 2
Direct
0.000 0.500 0.213 Li
0.500 0.000 0.787 Li
0.000 0.000 0.500 La
0.500 0.500 0.000 Mg
0.000 0.000 0.000 Sn
0.500 0.500 0.500 Sn
0.000 0.500 0.776 Pd
0.500 0.000 0.224 Pd
```

Peak list (10 most intense, 2θ from 10° to 90°, low angle first)
2θ/deg	I/Imax
22.69	45
26.44	10
29.51	11
37.34	100
37.74	51
44.49	15
54.44	18
67.08	16
67.88	35
79.62	10

[11]
For Li3La2NdPb3, DFT lattice parameters and positions (PBE) gives the theoretical powder diffractogram in this record (Cu Kα X-rays).
Neutral-atom scattering factors, no anomalous dispersion.

Atomic structure:
```
Li3La2NdPb3
1.0
4.887 0.000 0.000
-2.443 4.232 0.000
0.000 0.000 11.658
Li La Nd Pb
3 2 1 3
Direct
0.000 0.000 0.000 Li
0.667 0.333 0.316 Li
0.667 0.333 0.684 Li
0.333 0.667 0.166 La
0.333 0.667 0.834 La
0.333 0.667 0.500 Nd
0.000 0.000 0.333 Pb
0.000 0.000 0.667 Pb
0.667 0.333 0.000 Pb
```

Peak list (10 most intense, 2θ from 10° to 90°, low angle first)
2θ/deg	I/Imax
22.35	48
26.02	33
31.25	100
36.78	63
37.47	13
49.02	29
60.92	29
62.82	28
84.96	12
86.64	13

[12]
For Li2LaScNi2Sn2, DFT lattice parameters and positions (PBE) gives the theoretical powder diffractogram in this record (Cu Kα X-rays).
Neutral-atom scattering factors, no anomalous dispersion.

Atomic structure:
```
Li2LaScNi2Sn2
1.0
4.638 0.000 0.000
0.000 4.638 0.000
0.000 0.000 6.561
Li La Sc Ni Sn
2 1 1 2 2
Direct
0.000 0.500 0.232 Li
0.500 0.000 0.768 Li
0.000 0.000 0.500 La
0.500 0.500 0.000 Sc
0.000 0.500 0.770 Ni
0.500 0.000 0.230 Ni
0.000 0.000 0.000 Sn
0.500 0.500 0.500 Sn
```

Peak list (10 most intense, 2θ from 10° to 90°, low angle first)
2θ/deg	I/Imax
23.49	14
27.19	33
38.83	100
45.88	7
48.05	10
56.08	17
63.42	13
70.31	34
83.34	11
89.69	8

[13]
For Li3La2PrPb3, DFT lattice parameters and positions (PBE) gives the theoretical powder diffractogram in this record (Cu Kα X-rays).
Neutral-atom scattering factors, no anomalous dispersion.

Atomic structure:
```
Li3La2PrPb3
1.0
4.887 0.000 0.000
-2.443 4.232 0.000
0.000 0.000 11.749
Li La Pr Pb
3 2 1 3
Direct
0.000 0.000 0.000 Li
0.667 0.333 0.314 Li
0.667 0.333 0.686 Li
0.333 0.667 0.165 La
0.333 0.667 0.835 La
0.333 0.667 0.500 Pr
0.000 0.000 0.330 Pb
0.000 0.000 0.670 Pb
0.667 0.333 0.000 Pb
```

Peak list (10 most intense, 2θ from 10° to 90°, low angle first)
2θ/deg	I/Imax
22.33	46
25.95	35
31.11	100
36.78	62
37.26	12
48.92	29
60.60	29
62.74	27
84.68	12
86.57	12

[14]
For Li3La2SmPb3, DFT lattice parameters and positions (PBE) gives the theoretical powder diffractogram in this record (Cu Kα X-rays).
Neutral-atom scattering factors, no anomalous dispersion.

Atomic structure:
```
Li3La2SmPb3
1.0
4.877 0.000 0.000
-2.438 4.223 0.000
0.000 0.000 11.582
Li La Sm Pb
3 2 1 3
Direct
0.000 0.000 0.000 Li
0.333 0.667 0.316 Li
0.333 0.667 0.684 Li
0.667 0.333 0.170 La
0.667 0.333 0.830 La
0.667 0.333 0.500 Sm
0.000 0.000 0.338 Pb
0.000 0.000 0.662 Pb
0.333 0.667 0.000 Pb
```

Peak list (10 most intense, 2θ from 10° to 90°, low angle first)
2θ/deg	I/Imax
22.41	50
26.11	30
31.39	100
36.86	63
37.67	16
49.18	29
61.24	29
63.02	28
85.34	12
86.91	12